Entry 1:
Ba3Tm3AgTe8: theoretical powder diffractogram (CuKα), based on the GGA-PBE geometry in Alexandria.

Atomic structure:
```
data_Ba3Tm3AgTe8
_chemical_formula_sum 'Ba9 Tm9 Ag3 Te24'
_cell_length_a 9.0589
_cell_length_b 9.0589
_cell_length_c 23.4331
_cell_angle_alpha 90.00
_cell_angle_beta 90.00
_cell_angle_gamma 120.00
_symmetry_space_group_name_H-M 'R -3 m'
_symmetry_Int_Tables_number 166
_symmetry_space_group_name_Hall '-R 3 2"'
loop_
_atom_site_label
_atom_site_type_symbol
_atom_site_fract_x
_atom_site_fract_y
_atom_site_fract_z
Ba1 Ba 0.0000 0.5000 0.0000
Tm1 Tm 0.0000 0.5000 0.5000
Ag1 Ag 0.0000 0.0000 0.5000
Te1 Te 0.0000 0.0000 0.2379
Te2 Te 0.0115 0.5058 0.7624
```

Main lines, sorted by position (2θ from 10° to 80°):
Position (°2θ)  intensity  hkl
11.3  132  0 0 3
27.4  1000  0 2 4
35.2  72  0 2 7
38.4  351  2 0 8
39.8  380  2 2 0
49.0  198  4 0 4
56.5  112  0 4 8
62.8  128  2 2 12
64.9  168  2 4 4
71.3  110  4 2 8

Entry 2:
BaUAg2Te4: theoretical powder diffractogram (CuKα), based on the GGA-PBE geometry in Alexandria.

Atomic structure:
```
data_BaUAg2Te4
_chemical_formula_sum 'Ba2 U2 Ag4 Te8'
_cell_length_a 7.5136
_cell_length_b 8.1913
_cell_length_c 8.9571
_cell_angle_alpha 90.00
_cell_angle_beta 90.00
_cell_angle_gamma 90.00
_symmetry_space_group_name_H-M 'I 2 2 2'
_symmetry_Int_Tables_number 23
loop_
_symmetry_equiv_pos_as_xyz
'x,y,z'
'-x,-y,z'
'x,-y,-z'
'-x,y,-z'
'x+1/2,y+1/2,z+1/2'
'-x+1/2,-y+1/2,z+1/2'
'x+1/2,-y+1/2,-z+1/2'
'-x+1/2,y+1/2,-z+1/2'
loop_
_atom_site_label
_atom_site_type_symbol
_atom_site_fract_x
_atom_site_fract_y
_atom_site_fract_z
Ba1 Ba 0.0000 0.0000 0.0000
U1 U 0.0000 0.0000 0.5000
Ag1 Ag 0.0000 0.5000 0.1607
Te1 Te 0.2238 0.2174 0.3058
```

Main lines, sorted by position (2θ from 10° to 80°):
Position (°2θ)  intensity  hkl
14.7  370  0 1 1
25.6  975  1 1 2
29.6  427  0 2 2
31.1  389  2 0 2
32.3  1000  2 2 0
39.2  170  1 2 3
40.5  305  1 3 2
42.8  269  3 1 2
43.6  403  1 1 4
54.4  165  1 3 4

Entry 3:
Ba2UAgTe6: theoretical powder diffractogram (CuKα), based on the GGA-PBE geometry in Alexandria.

Atomic structure:
```
data_Ba2UAgTe6
_chemical_formula_sum 'Ba4 U2 Ag2 Te12'
_cell_length_a 7.3376
_cell_length_b 11.9013
_cell_length_c 8.9961
_cell_angle_alpha 90.00
_cell_angle_beta 90.00
_cell_angle_gamma 90.00
_symmetry_space_group_name_H-M 'P m m n'
_symmetry_Int_Tables_number 59
loop_
_symmetry_equiv_pos_as_xyz
'x,y,z'
'-x,-y,-z'
'-x+1/2,-y+1/2,z'
'x+1/2,y+1/2,-z'
'x+1/2,-y,-z'
'-x+1/2,y,z'
'-x,y+1/2,-z'
'x,-y+1/2,z'
loop_
_atom_site_label
_atom_site_type_symbol
_atom_site_fract_x
_atom_site_fract_y
_atom_site_fract_z
Ba1 Ba 0.2500 0.0312 0.1794
U1 U 0.2500 0.7500 0.7927
Ag1 Ag 0.2500 0.2500 0.6995
Te1 Te 0.0024 0.2500 0.9575
Te2 Te 0.0205 0.2500 0.4391
Te3 Te 0.2500 0.5026 0.7848
```

Main lines, sorted by position (2θ from 10° to 80°):
Position (°2θ)  intensity  hkl
14.9  311  0 2 0
15.6  482  1 0 1
21.6  379  1 2 1
24.8  388  0 2 2
28.6  467  2 2 0
30.0  860  0 4 0
31.5  1000  2 0 2
32.4  510  2 1 2
40.8  295  0 1 4
44.1  717  2 4 2

Entry 4:
Ba6Tl2Ag: theoretical powder diffractogram (CuKα), based on the GGA-PBE geometry in Alexandria.

Atomic structure:
```
data_Ba6Tl2Ag
_chemical_formula_sum 'Ba12 Tl4 Ag2'
_cell_length_a 8.1379
_cell_length_b 9.1850
_cell_length_c 14.4126
_cell_angle_alpha 90.00
_cell_angle_beta 123.35
_cell_angle_gamma 90.00
_symmetry_space_group_name_H-M 'P 1 21/c 1'
_symmetry_Int_Tables_number 14
loop_
_symmetry_equiv_pos_as_xyz
'x,y,z'
'-x,-y,-z'
'-x,y+1/2,-z+1/2'
'x,-y+1/2,z+1/2'
loop_
_atom_site_label
_atom_site_type_symbol
_atom_site_fract_x
_atom_site_fract_y
_atom_site_fract_z
Ba1 Ba 0.1079 0.0368 0.2427
Ba2 Ba 0.2315 0.6810 0.0698
Ba3 Ba 0.3907 0.1770 0.0659
Tl1 Tl 0.2980 0.1106 0.7532
Ag1 Ag 0.5000 0.0000 0.5000
```

Main lines, sorted by position (2θ from 10° to 80°):
Position (°2θ)  intensity  hkl
24.6  564  1 0 2
24.9  575  1 0 -4
25.2  1000  2 1 -3
26.4  521  1 1 2
26.7  639  1 2 1
26.8  625  1 1 -4
29.6  756  0 2 3
31.2  696  1 3 -1
32.1  604  1 3 0
37.4  599  3 1 -1

Entry 5:
Ba2Tl5Ag: theoretical powder diffractogram (CuKα), based on the GGA-PBE geometry in Alexandria.

Atomic structure:
```
data_Ba2Tl5Ag
_chemical_formula_sum 'Ba8 Tl20 Ag4'
_cell_length_a 5.1026
_cell_length_b 19.4888
_cell_length_c 10.8365
_cell_angle_alpha 90.00
_cell_angle_beta 90.00
_cell_angle_gamma 90.00
_symmetry_space_group_name_H-M 'C m c m'
_symmetry_Int_Tables_number 63
_symmetry_space_group_name_Hall '-C 2c 2'
loop_
_atom_site_label
_atom_site_type_symbol
_atom_site_fract_x
_atom_site_fract_y
_atom_site_fract_z
Ba1 Ba 0.0000 0.0000 0.0000
Ba2 Ba 0.0000 0.2031 0.2500
Tl1 Tl 0.0000 0.1923 0.6011
Tl2 Tl 0.0000 0.3598 0.5356
Tl3 Tl 0.0000 0.4061 0.2500
Ag1 Ag 0.0000 0.4478 0.7500
```

Main lines, sorted by position (2θ from 10° to 80°):
Position (°2θ)  intensity  hkl
27.7  516  1 3 2
28.8  1000  1 5 0
30.7  993  1 1 3
32.1  283  0 6 2
35.2  591  2 0 0
37.2  368  0 6 3
37.9  188  1 1 4
40.2  241  1 3 4
52.1  282  2 6 3
59.3  199  3 5 0

Entry 6:
Ba6Tl2Ag: theoretical powder diffractogram (CuKα), based on the GGA-PBE geometry in Alexandria.

Atomic structure:
```
data_Ba6Tl2Ag
_chemical_formula_sum 'Ba24 Tl8 Ag4'
_cell_length_a 10.4604
_cell_length_b 12.1365
_cell_length_c 13.4840
_cell_angle_alpha 90.00
_cell_angle_beta 90.00
_cell_angle_gamma 90.00
_symmetry_space_group_name_H-M 'I m m m'
_symmetry_Int_Tables_number 71
_symmetry_space_group_name_Hall '-I 2 2'
loop_
_atom_site_label
_atom_site_type_symbol
_atom_site_fract_x
_atom_site_fract_y
_atom_site_fract_z
Ba1 Ba 0.0000 0.2141 0.2256
Ba2 Ba 0.2150 0.3251 0.5000
Ba3 Ba 0.2197 0.5000 0.1573
Tl1 Tl 0.0000 0.3547 0.0000
Tl2 Tl 0.0000 0.5000 0.3634
Ag1 Ag 0.0000 0.0000 0.0000
Ag2 Ag 0.0000 0.0000 0.5000
```

Main lines, sorted by position (2θ from 10° to 80°):
Position (°2θ)  intensity  hkl
11.2  247  1 1 0
26.1  426  2 2 2
27.1  1000  2 1 3
28.7  499  2 3 1
30.3  368  0 2 4
34.3  293  4 0 0
35.7  173  1 3 4
45.9  166  2 5 3
51.0  148  5 3 2
55.7  169  2 3 7

Entry 7:
BaTlAg2: theoretical powder diffractogram (CuKα), based on the GGA-PBE geometry in Alexandria.

Atomic structure:
```
data_BaTlAg2
_chemical_formula_sum 'Ba4 Tl4 Ag8'
_cell_length_a 8.3459
_cell_length_b 4.7336
_cell_length_c 11.5438
_cell_angle_alpha 90.00
_cell_angle_beta 90.00
_cell_angle_gamma 90.00
_symmetry_space_group_name_H-M 'P n m a'
_symmetry_Int_Tables_number 62
loop_
_symmetry_equiv_pos_as_xyz
'x,y,z'
'-x,-y,-z'
'-x+1/2,-y,z+1/2'
'x+1/2,y,-z+1/2'
'x+1/2,-y+1/2,-z+1/2'
'-x+1/2,y+1/2,z+1/2'
'-x,y+1/2,-z'
'x,-y+1/2,z'
loop_
_atom_site_label
_atom_site_type_symbol
_atom_site_fract_x
_atom_site_fract_y
_atom_site_fract_z
Ba1 Ba 0.2271 0.2500 0.1883
Tl1 Tl 0.0529 0.7500 0.3922
Ag1 Ag 0.0636 0.2500 0.9132
Ag2 Ag 0.2431 0.7500 0.9736
```

Main lines, sorted by position (2θ from 10° to 80°):
Position (°2θ)  intensity  hkl
29.6  1000  2 1 1
29.9  537  0 1 3
31.8  688  1 1 3
32.8  348  1 0 4
35.8  367  3 0 2
37.0  360  2 1 3
37.9  265  2 0 4
38.0  526  0 2 0
38.3  537  3 1 1
53.2  236  3 2 2

Entry 8:
Ba3Tl3Ag8: theoretical powder diffractogram (CuKα), based on the GGA-PBE geometry in Alexandria.

Atomic structure:
```
data_Ba3Tl3Ag8
_chemical_formula_sum 'Ba6 Tl6 Ag16'
_cell_length_a 5.0455
_cell_length_b 10.1514
_cell_length_c 14.9893
_cell_angle_alpha 90.00
_cell_angle_beta 90.00
_cell_angle_gamma 90.00
_symmetry_space_group_name_H-M 'I m m m'
_symmetry_Int_Tables_number 71
_symmetry_space_group_name_Hall '-I 2 2'
loop_
_atom_site_label
_atom_site_type_symbol
_atom_site_fract_x
_atom_site_fract_y
_atom_site_fract_z
Ba1 Ba 0.0000 0.0000 0.0000
Ba2 Ba 0.0000 0.0000 0.3008
Tl1 Tl 0.0000 0.2123 0.5000
Tl2 Tl 0.0000 0.5000 0.0000
Ag1 Ag 0.0000 0.2747 0.1444
Ag2 Ag 0.0000 0.3597 0.3315
```

Main lines, sorted by position (2θ from 10° to 80°):
Position (°2θ)  intensity  hkl
25.6  154  1 2 1
30.7  1000  1 2 3
31.9  210  0 3 3
34.1  329  1 3 2
35.6  417  2 0 0
35.9  278  0 0 6
40.1  143  1 3 4
51.5  196  2 0 6
59.3  119  1 4 7
60.9  141  3 2 3

Entry 9:
Ba8TlAg2: theoretical powder diffractogram (CuKα), based on the GGA-PBE geometry in Alexandria.

Atomic structure:
```
data_Ba8TlAg2
_chemical_formula_sum 'Ba16 Tl2 Ag4'
_cell_length_a 10.5810
_cell_length_b 15.4005
_cell_length_c 6.9709
_cell_angle_alpha 90.00
_cell_angle_beta 105.88
_cell_angle_gamma 90.00
_symmetry_space_group_name_H-M 'C 1 m 1'
_symmetry_Int_Tables_number 8
loop_
_symmetry_equiv_pos_as_xyz
'x,y,z'
'x,-y,z'
'x+1/2,y+1/2,z'
'x+1/2,-y+1/2,z'
loop_
_atom_site_label
_atom_site_type_symbol
_atom_site_fract_x
_atom_site_fract_y
_atom_site_fract_z
Ba1 Ba 0.0000 0.0000 0.0000
Ba2 Ba 0.0640 0.3697 0.7786
Ba3 Ba 0.1633 0.1324 0.5850
Ba4 Ba 0.2276 0.5000 0.3829
Ba5 Ba 0.3585 0.2280 0.1861
Tl1 Tl 0.3683 0.0000 0.3394
Ag1 Ag 0.3645 0.3140 0.6893
```

Main lines, sorted by position (2θ from 10° to 80°):
Position (°2θ)  intensity  hkl
24.7  545  2 0 1
24.8  467  1 3 1
26.3  325  1 1 -2
26.6  874  3 1 -1
26.7  846  0 4 1
29.1  1000  2 4 0
30.0  364  2 2 -2
31.6  519  3 3 0
32.2  496  1 5 -1
54.0  302  2 8 1

Entry 10:
Ba4YAg: theoretical powder diffractogram (CuKα), based on the GGA-PBE geometry in Alexandria.

Atomic structure:
```
data_Ba4YAg
_chemical_formula_sum 'Ba16 Y4 Ag4'
_cell_length_a 10.5425
_cell_length_b 10.5425
_cell_length_c 10.5425
_cell_angle_alpha 90.00
_cell_angle_beta 90.00
_cell_angle_gamma 90.00
_symmetry_space_group_name_H-M 'F -4 3 m'
_symmetry_Int_Tables_number 216
_symmetry_space_group_name_Hall 'F -4 2 3'
loop_
_atom_site_label
_atom_site_type_symbol
_atom_site_fract_x
_atom_site_fract_y
_atom_site_fract_z
Ba1 Ba 0.1248 0.1248 0.1248
Y1 Y 0.2500 0.2500 0.7500
Ag1 Ag 0.0000 0.0000 0.5000
```

Main lines, sorted by position (2θ from 10° to 80°):
Position (°2θ)  intensity  hkl
14.6  134  1 1 1
23.9  189  2 2 0
28.1  1000  3 1 1
29.3  496  2 2 2
44.7  368  5 1 1
48.9  339  4 4 0
57.3  130  5 3 3
58.0  213  6 2 2
68.3  230  7 3 1
78.6  121  7 5 1

Entry 11:
BaZnAg2: theoretical powder diffractogram (CuKα), based on the GGA-PBE geometry in Alexandria.

Atomic structure:
```
data_BaZnAg2
_chemical_formula_sum 'Ba4 Zn4 Ag8'
_cell_length_a 8.5697
_cell_length_b 7.5672
_cell_length_c 6.2120
_cell_angle_alpha 90.00
_cell_angle_beta 90.00
_cell_angle_gamma 90.00
_symmetry_space_group_name_H-M 'P n m a'
_symmetry_Int_Tables_number 62
loop_
_symmetry_equiv_pos_as_xyz
'x,y,z'
'-x,-y,-z'
'-x+1/2,-y,z+1/2'
'x+1/2,y,-z+1/2'
'x+1/2,-y+1/2,-z+1/2'
'-x+1/2,y+1/2,z+1/2'
'-x,y+1/2,-z'
'x,-y+1/2,z'
loop_
_atom_site_label
_atom_site_type_symbol
_atom_site_fract_x
_atom_site_fract_y
_atom_site_fract_z
Ba1 Ba 0.0389 0.2500 0.1296
Zn1 Zn 0.1237 0.7500 0.3629
Ag1 Ag 0.1698 0.0618 0.5940
```

Main lines, sorted by position (2θ from 10° to 80°):
Position (°2θ)  intensity  hkl
27.9  390  2 1 1
29.5  402  1 2 1
30.6  352  1 0 2
31.5  494  2 2 0
32.9  1000  1 1 2
34.6  766  3 0 1
34.8  563  2 2 1
39.0  293  1 2 2
40.0  521  1 3 1
57.0  297  3 3 2

Entry 12:
Ba8Zn2Ag: theoretical powder diffractogram (CuKα), based on the GGA-PBE geometry in Alexandria.

Atomic structure:
```
data_Ba8Zn2Ag
_chemical_formula_sum 'Ba16 Zn4 Ag2'
_cell_length_a 10.2030
_cell_length_b 14.9045
_cell_length_c 7.4749
_cell_angle_alpha 90.00
_cell_angle_beta 108.61
_cell_angle_gamma 90.00
_symmetry_space_group_name_H-M 'C 1 m 1'
_symmetry_Int_Tables_number 8
loop_
_symmetry_equiv_pos_as_xyz
'x,y,z'
'x,-y,z'
'x+1/2,y+1/2,z'
'x+1/2,-y+1/2,z'
loop_
_atom_site_label
_atom_site_type_symbol
_atom_site_fract_x
_atom_site_fract_y
_atom_site_fract_z
Ba1 Ba 0.0000 0.0000 0.0000
Ba2 Ba 0.0656 0.3623 0.8090
Ba3 Ba 0.1528 0.1338 0.5871
Ba4 Ba 0.2096 0.5000 0.3803
Ba5 Ba 0.3605 0.2088 0.2008
Zn1 Zn 0.3555 0.3163 0.6852
Ag1 Ag 0.3506 0.0000 0.9793
```

Main lines, sorted by position (2θ from 10° to 80°):
Position (°2θ)  intensity  hkl
22.1  544  2 2 -1
24.6  518  1 1 -2
25.3  1000  1 3 1
25.4  681  2 0 1
27.0  683  0 4 1
27.2  754  3 1 -1
27.9  570  0 2 2
28.7  439  2 2 -2
30.3  414  2 4 0
32.8  505  1 5 -1